(1)
InBr2: computed X-ray diffraction stick pattern (Cu Kα (λ = 1.5418 Å)), based on a PBE-relaxed structure.

Structure:
a = 8.028 Å, b = 10.742 Å, c = 10.737 Å
α = 90.00°, β = 90.00°, γ = 90.00°
Element x y z (fractional)
In  0.168  0.250  0.250
In  0.250  0.000  0.679
In  0.250  0.500  0.821
In  0.332  0.750  0.250
In  0.668  0.250  0.750
In  0.750  0.000  0.321
In  0.750  0.500  0.179
In  0.832  0.750  0.750
Br  0.005  0.541  0.315
Br  0.005  0.959  0.185
Br  0.160  0.687  0.951
Br  0.160  0.813  0.549
Br  0.340  0.187  0.549
Br  0.340  0.313  0.951
Br  0.495  0.041  0.185
Br  0.495  0.459  0.315
Br  0.505  0.541  0.685
Br  0.505  0.959  0.815
Br  0.660  0.687  0.049
Br  0.660  0.813  0.451
Br  0.840  0.187  0.451
Br  0.840  0.313  0.049
Br  0.995  0.041  0.815
Br  0.995  0.459  0.685

Principal peaks in the range 2θ = 10–80°, low angle first:
two_theta	I/Imax
16.51	29
21.56	100
25.09	30
28.53	33
28.99	57
32.05	34
34.59	45
42.21	26

---

(2)
VOs2Ru4: computed X-ray diffraction stick pattern (Cu Kα (λ = 1.5418 Å)), based on a PBE-relaxed structure.

Structure:
a = 4.749 Å, b = 4.749 Å, c = 5.089 Å
α = 97.59°, β = 97.59°, γ = 111.83°
Element x y z (fractional)
V  0.000  0.000  0.000
Os  0.378  0.856  0.721
Os  0.856  0.378  0.721
Ru  0.242  0.662  0.172
Ru  0.311  0.311  0.524
Ru  0.662  0.242  0.172
Ru  0.815  0.815  0.459

Principal peaks in the range 2θ = 10–80°, low angle first:
two_theta	I/Imax
17.94	24
22.61	27
29.01	26
41.81	33
42.21	58
43.19	100
44.31	20
46.16	26

---

(3)
CsUMnS3: computed X-ray diffraction stick pattern (Cu Kα (λ = 1.5418 Å)), based on a PBE-relaxed structure.

Structure:
a = 9.436 Å, b = 4.050 Å, c = 9.743 Å
α = 90.00°, β = 111.61°, γ = 90.00°
Element x y z (fractional)
Cs  0.212  0.250  0.246
Cs  0.788  0.750  0.754
U  0.331  0.750  0.849
U  0.669  0.250  0.151
Mn  0.078  0.250  0.603
Mn  0.922  0.750  0.397
S  0.136  0.250  0.859
S  0.186  0.750  0.550
S  0.472  0.750  0.150
S  0.528  0.250  0.850
S  0.814  0.250  0.450
S  0.864  0.750  0.141

Principal peaks in the range 2θ = 10–80°, low angle first:
two_theta	I/Imax
11.16	100
22.43	58
24.07	48
29.15	83
29.59	41
30.03	52
35.44	28
44.74	45

---

(4)
Li3CuTe3S8: computed X-ray diffraction stick pattern (Cu Kα (λ = 1.5418 Å)), based on a PBE-relaxed structure.

Structure:
a = 7.812 Å, b = 7.812 Å, c = 7.258 Å
α = 112.74°, β = 112.74°, γ = 55.96°
Element x y z (fractional)
Li  0.000  0.000  0.000
Li  0.000  0.500  0.500
Li  0.500  0.000  0.500
Cu  0.000  0.000  0.500
Te  0.000  0.500  0.000
Te  0.500  0.000  0.000
Te  0.500  0.500  0.500
S  0.186  0.749  0.252
S  0.212  0.212  0.224
S  0.251  0.814  0.748
S  0.294  0.294  0.784
S  0.706  0.706  0.216
S  0.749  0.186  0.252
S  0.788  0.788  0.776
S  0.814  0.251  0.748

Principal peaks in the range 2θ = 10–80°, low angle first:
two_theta	I/Imax
14.78	100
23.72	37
27.92	38
28.78	41
34.88	62
35.76	22
44.15	27
47.46	15

---

(5)
GaCoP: computed X-ray diffraction stick pattern (Cu Kα (λ = 1.5418 Å)), based on a PBE-relaxed structure.

Structure:
a = 5.032 Å, b = 6.369 Å, c = 5.717 Å
α = 90.00°, β = 107.60°, γ = 90.00°
Element x y z (fractional)
Ga  0.022  0.000  0.130
Ga  0.424  0.497  0.374
Ga  0.576  0.997  0.626
Ga  0.978  0.500  0.870
Co  0.068  0.871  0.729
Co  0.500  0.363  0.808
Co  0.500  0.863  0.192
Co  0.932  0.371  0.271
P  0.124  0.197  0.608
P  0.432  0.686  0.860
P  0.568  0.186  0.140
P  0.876  0.697  0.392

Principal peaks in the range 2θ = 10–80°, low angle first:
two_theta	I/Imax
24.97	33
28.02	33
35.06	77
35.85	100
37.50	58
40.19	39
44.45	48
51.90	66

---

(6)
SiAg3S4: computed X-ray diffraction stick pattern (Cu Kα (λ = 1.5418 Å)), based on a PBE-relaxed structure.

Structure:
a = 6.863 Å, b = 6.863 Å, c = 6.863 Å
α = 131.47°, β = 131.47°, γ = 71.07°
Element x y z (fractional)
Si  0.000  0.000  0.000
Ag  0.250  0.750  0.500
Ag  0.500  0.500  0.000
Ag  0.750  0.250  0.500
S  0.108  0.108  0.439
S  0.330  0.892  0.000
S  0.670  0.670  0.561
S  0.892  0.330  0.000

Principal peaks in the range 2θ = 10–80°, low angle first:
two_theta	I/Imax
17.61	7
27.48	100
31.72	13
45.47	18
45.72	36
53.95	27
54.38	13
73.52	11

---

(7)
KDyPbO3: computed X-ray diffraction stick pattern (Cu Kα (λ = 1.5418 Å)), based on a PBE-relaxed structure.

Structure:
a = 7.240 Å, b = 3.512 Å, c = 9.654 Å
α = 90.00°, β = 98.29°, γ = 90.00°
Element x y z (fractional)
K  0.087  0.250  0.349
K  0.913  0.750  0.651
Dy  0.422  0.750  0.633
Dy  0.578  0.250  0.367
Pb  0.282  0.250  0.919
Pb  0.718  0.750  0.081
O  0.220  0.250  0.665
O  0.380  0.750  0.397
O  0.465  0.750  0.878
O  0.535  0.250  0.122
O  0.620  0.250  0.603
O  0.780  0.750  0.335

Principal peaks in the range 2θ = 10–80°, low angle first:
two_theta	I/Imax
12.35	100
16.50	56
27.83	71
28.98	56
29.25	67
31.62	77
36.10	78
48.41	36

---

(8)
KNd2SbO6: computed X-ray diffraction stick pattern (Cu Kα (λ = 1.5418 Å)), based on a PBE-relaxed structure.

Structure:
a = 6.321 Å, b = 6.321 Å, c = 6.321 Å
α = 56.53°, β = 56.53°, γ = 56.53°
Element x y z (fractional)
K  0.000  0.000  0.000
Nd  0.263  0.263  0.263
Nd  0.776  0.776  0.776
Sb  0.468  0.468  0.468
O  0.106  0.618  0.428
O  0.236  0.538  0.823
O  0.428  0.106  0.618
O  0.538  0.823  0.236
O  0.618  0.428  0.106
O  0.823  0.236  0.538

Principal peaks in the range 2θ = 10–80°, low angle first:
two_theta	I/Imax
20.46	48
28.32	95
29.85	100
41.61	36
45.76	48
52.05	38
52.99	29
61.00	21